Calculated powder diffraction line list
Compound: Na5Ce3Ti6Nb2O24
Radiation: Cu Kα X-rays
Structure: a structure optimized by DFT (PBE)
Lines closer than 0.1° are merged.

Top 12 peaks for 5 to 70 degrees two-theta, by intensity:
d 2.741, 2θ 32.7, rel. 100; d 4.485, 2θ 19.8, rel. 56; d 1.951, 2θ 46.6, rel. 38; d 2.763, 2θ 32.4, rel. 25; d 2.350, 2θ 38.3, rel. 24; d 1.588, 2θ 58.1, rel. 22; d 2.755, 2θ 32.5, rel. 20; d 1.591, 2θ 58.0, rel. 19; d 1.580, 2θ 58.4, rel. 17; d 1.925, 2θ 47.2, rel. 17; d 2.327, 2θ 38.7, rel. 12; d 5.194, 2θ 17.1, rel. 10

```
data_Na5Ce3Ti6Nb2O24
_symmetry_space_group_name_H-M 'P 1'
_symmetry_Int_Tables_number 1
_cell_length_a 5.5094
_cell_length_b 5.5264
_cell_length_c 15.4009
_cell_angle_alpha 90.00
_cell_angle_beta 90.11
_cell_angle_gamma 90.00
loop_
_symmetry_equiv_pos_as_xyz
'x,y,z'
loop_
_atom_site_label
_atom_site_fract_x
_atom_site_fract_y
_atom_site_fract_z
Na1 0.0000 0.0000 0.0000
Na2 0.0033 0.0000 0.4964
Na3 0.4936 0.5000 0.2473
Na4 0.5099 0.5000 0.7505
Na5 0.5306 0.5000 0.9970
Ce1 0.0140 0.0000 0.2496
Ce2 0.0303 0.0000 0.7457
Ce3 0.5284 0.5000 0.4988
Ti1 0.0251 0.5000 0.6245
Ti2 0.4947 0.0000 0.3749
Ti3 0.5257 0.0000 0.6211
Ti4 0.5272 0.0000 0.8726
Ti5 0.9960 0.5000 0.1244
Ti6 0.9978 0.5000 0.3727
Nb1 0.0218 0.5000 0.8789
Nb2 0.5016 0.0000 0.1181
O1 0.1052 0.5000 0.0005
O2 0.1089 0.5000 0.4974
O3 0.2545 0.2472 0.1513
O4 0.2545 0.7528 0.1513
O5 0.2588 0.2472 0.3504
O6 0.2588 0.7528 0.3504
O7 0.2648 0.2435 0.8458
O8 0.2646 0.2505 0.6444
O9 0.2646 0.7495 0.6444
O10 0.2648 0.7565 0.8458
O11 0.4277 0.0000 0.9963
O12 0.4346 0.0000 0.4983
O13 0.6043 0.0000 0.2515
O14 0.6052 0.0000 0.7467
O15 0.7605 0.2525 0.3969
O16 0.7605 0.7475 0.3969
O17 0.7644 0.2505 0.6000
O18 0.7644 0.7495 0.6000
O19 0.7694 0.2455 0.1054
O20 0.7694 0.7545 0.1054
O21 0.7703 0.2422 0.8918
O22 0.7703 0.7578 0.8918
O23 0.9318 0.5000 0.2492
O24 0.9340 0.5000 0.7454
```